1.
Diffraction record for BaO. The X-ray diffraction stick pattern is simulated, not measured: it uses a structure optimized by DFT (GGA-PBE) and Cu Kα X-rays.
Kinematic intensities with the Lorentz-polarization factor, no thermal factor.

Main lines, sorted by position (15° ≤ 2θ ≤ 90°):
2θ 27.5, I = 1000; 2θ 31.9, I = 872; 2θ 45.7, I = 615; 2θ 54.2, I = 476; 2θ 56.8, I = 210; 2θ 66.7, I = 97; 2θ 73.6, I = 203; 2θ 75.8, I = 267; 2θ 84.6, I = 203

Atomic structure:
abc: 5.6113 5.6113 5.6113
angles: 90.00 90.00 90.00
Element x y z (fractional)
Ba 0.0000 0.0000 0.0000
Ba 0.0000 0.5000 0.5000
Ba 0.5000 0.0000 0.5000
Ba 0.5000 0.5000 0.0000
O 0.0000 0.0000 0.5000
O 0.0000 0.5000 0.0000
O 0.5000 0.0000 0.0000
O 0.5000 0.5000 0.5000

---

2.
Diffraction record for CsNpCl6. The X-ray diffraction stick pattern is simulated, not measured: it uses a structure optimized by DFT (GGA-PBE) and Cu Kα X-rays.
Kinematic intensities with the Lorentz-polarization factor, no thermal factor.

Main lines, sorted by position (15° ≤ 2θ ≤ 90°):
2θ 17.2, I = 1000; 2θ 17.3, I = 485; 2θ 21.3, I = 814; 2θ 22.1, I = 146; 2θ 27.5, I = 178; 2θ 32.6, I = 795; 2θ 32.7, I = 384; 2θ 34.7, I = 201; 2θ 46.9, I = 222; 2θ 47.0, I = 282

Atomic structure:
abc: 8.6826 10.2587 6.7630
angles: 90.00 105.81 90.00
Element x y z (fractional)
Cs 0.0000 0.0000 0.0000
Cs 0.5000 0.5000 0.0000
Np 0.0000 0.5000 0.5000
Np 0.5000 0.0000 0.5000
Cl 0.0988 0.3275 0.7716
Cl 0.0988 0.6725 0.7716
Cl 0.2277 0.0000 0.5670
Cl 0.2723 0.5000 0.4330
Cl 0.4012 0.1725 0.2284
Cl 0.4012 0.8275 0.2284
Cl 0.5988 0.1725 0.7716
Cl 0.5988 0.8275 0.7716
Cl 0.7277 0.5000 0.5670
Cl 0.7723 0.0000 0.4330
Cl 0.9012 0.3275 0.2284
Cl 0.9012 0.6725 0.2284

---

3.
Diffraction record for TaGaAgPt2. The X-ray diffraction stick pattern is simulated, not measured: it uses a structure optimized by DFT (GGA-PBE) and Cu Kα X-rays.
Kinematic intensities with the Lorentz-polarization factor, no thermal factor.

Main lines, sorted by position (15° ≤ 2θ ≤ 90°):
2θ 20.1, I = 185; 2θ 27.2, I = 285; 2θ 32.9, I = 1000; 2θ 36.8, I = 760; 2θ 40.8, I = 286; 2θ 46.4, I = 134; 2θ 53.0, I = 267; 2θ 56.1, I = 451; 2θ 63.8, I = 308; 2θ 69.0, I = 242

Atomic structure:
abc: 4.8832 4.8832 4.4258
angles: 90.00 90.00 90.00
Element x y z (fractional)
Ta 0.0000 0.0000 0.0000
Ga 0.5000 0.5000 0.0000
Ag 0.5000 0.5000 0.5000
Pt 0.0000 0.5000 0.5000
Pt 0.5000 0.0000 0.5000

---

4.
Diffraction record for AlGa3Ag5. The X-ray diffraction stick pattern is simulated, not measured: it uses a structure optimized by DFT (GGA-PBE) and Cu Kα X-rays.
Kinematic intensities with the Lorentz-polarization factor, no thermal factor.

Main lines, sorted by position (15° ≤ 2θ ≤ 90°):
2θ 32.0, I = 688; 2θ 35.3, I = 680; 2θ 35.9, I = 401; 2θ 40.0, I = 1000; 2θ 42.0, I = 259; 2θ 48.1, I = 302; 2θ 48.8, I = 174; 2θ 54.0, I = 187; 2θ 60.0, I = 134; 2θ 69.6, I = 163

Atomic structure:
abc: 7.8371 7.8371 7.8371
angles: 119.38 119.38 91.08
Element x y z (fractional)
Al 0.2500 0.7500 0.5000
Al 0.7500 0.2500 0.5000
Ga 0.1102 0.6102 0.7203
Ga 0.2500 0.2500 0.0000
Ga 0.3898 0.1102 0.5000
Ga 0.6102 0.8898 0.5000
Ga 0.7500 0.7500 0.0000
Ga 0.8898 0.3898 0.2797
Ag 0.0000 0.0000 0.0000
Ag 0.0678 0.1672 0.5000
Ag 0.1672 0.6672 0.0994
Ag 0.3328 0.4322 0.5000
Ag 0.4322 0.9322 0.0994
Ag 0.5000 0.5000 0.0000
Ag 0.5678 0.0678 0.9006
Ag 0.6672 0.5678 0.5000
Ag 0.8328 0.3328 0.9006
Ag 0.9322 0.8328 0.5000

---

5.
Diffraction record for La2Tb7Pm. The X-ray diffraction stick pattern is simulated, not measured: it uses a structure optimized by DFT (GGA-PBE) and Cu Kα X-rays.
Kinematic intensities with the Lorentz-polarization factor, no thermal factor.

Main lines, sorted by position (15° ≤ 2θ ≤ 90°):
2θ 30.3, I = 1000; 2θ 30.4, I = 331; 2θ 35.2, I = 675; 2θ 50.5, I = 161; 2θ 50.6, I = 320; 2θ 60.1, I = 192; 2θ 60.2, I = 286; 2θ 60.3, I = 95; 2θ 63.1, I = 82; 2θ 85.0, I = 92

Atomic structure:
abc: 6.2371 6.2506 9.5515
angles: 102.58 108.95 99.61
Element x y z (fractional)
La 0.1005 0.0009 0.2004
La 0.8995 0.9991 0.7996
Tb 0.1029 0.5005 0.7000
Tb 0.2980 0.0000 0.5995
Tb 0.3020 0.5017 0.0997
Tb 0.5000 0.0000 0.0000
Tb 0.6980 0.4983 0.9003
Tb 0.7020 0.0000 0.4005
Tb 0.8971 0.4995 0.3000
Pm 0.5000 0.5000 0.5000

---

6.
Diffraction record for TbPmPb3. The X-ray diffraction stick pattern is simulated, not measured: it uses a structure optimized by DFT (GGA-PBE) and Cu Kα X-rays.
Kinematic intensities with the Lorentz-polarization factor, no thermal factor.

Main lines, sorted by position (15° ≤ 2θ ≤ 90°):
2θ 27.5, I = 187; 2θ 29.0, I = 155; 2θ 29.4, I = 1000; 2θ 33.5, I = 256; 2θ 36.0, I = 285; 2θ 36.7, I = 287; 2θ 40.7, I = 253; 2θ 46.8, I = 233; 2θ 60.9, I = 214; 2θ 65.2, I = 217

Atomic structure:
abc: 10.0133 6.4836 9.7841
angles: 90.00 104.10 90.00
Element x y z (fractional)
Tb 0.1007 0.2503 0.1501
Tb 0.1007 0.2497 0.6501
Tb 0.8993 0.7503 0.3499
Tb 0.8993 0.7497 0.8499
Pm 0.3230 0.7500 0.4555
Pm 0.3230 0.7500 0.9555
Pm 0.6770 0.2500 0.0445
Pm 0.6770 0.2500 0.5445
Pb 0.1051 0.7503 0.1514
Pb 0.1051 0.7497 0.6514
Pb 0.3105 0.2500 0.4522
Pb 0.3105 0.2500 0.9522
Pb 0.4994 0.0009 0.2498
Pb 0.4994 0.4991 0.7498
Pb 0.5006 0.5009 0.2502
Pb 0.5006 0.9991 0.7502
Pb 0.6895 0.7500 0.0478
Pb 0.6895 0.7500 0.5478
Pb 0.8949 0.2503 0.3486
Pb 0.8949 0.2497 0.8486

---

7.
Diffraction record for Er6TlSi2S3. The X-ray diffraction stick pattern is simulated, not measured: it uses a structure optimized by DFT (GGA-PBE) and Cu Kα X-rays.
Kinematic intensities with the Lorentz-polarization factor, no thermal factor.

Main lines, sorted by position (15° ≤ 2θ ≤ 90°):
2θ 25.7, I = 157; 2θ 27.3, I = 316; 2θ 28.2, I = 146; 2θ 31.4, I = 1000; 2θ 31.6, I = 514; 2θ 43.6, I = 362; 2θ 44.5, I = 168; 2θ 45.4, I = 187; 2θ 46.7, I = 340; 2θ 56.4, I = 188

Atomic structure:
abc: 9.1703 9.1703 8.1851
angles: 108.08 108.08 25.16
Element x y z (fractional)
Er 0.0061 0.0061 0.2261
Er 0.3250 0.3250 0.4195
Er 0.3297 0.3297 0.9299
Er 0.6703 0.6703 0.0701
Er 0.6750 0.6750 0.5805
Er 0.9939 0.9939 0.7739
Tl 0.5000 0.5000 0.5000
Si 0.1602 0.1602 0.8162
Si 0.8398 0.8398 0.1838
S 0.1678 0.1678 0.3240
S 0.5000 0.5000 0.0000
S 0.8322 0.8322 0.6760

---

8.
Diffraction record for SrNi3Ge. The X-ray diffraction stick pattern is simulated, not measured: it uses a structure optimized by DFT (GGA-PBE) and Cu Kα X-rays.
Kinematic intensities with the Lorentz-polarization factor, no thermal factor.

Main lines, sorted by position (15° ≤ 2θ ≤ 90°):
2θ 19.9, I = 138; 2θ 28.0, I = 400; 2θ 32.3, I = 632; 2θ 36.8, I = 440; 2θ 39.7, I = 522; 2θ 40.3, I = 1000; 2θ 52.2, I = 229; 2θ 57.9, I = 659; 2θ 65.5, I = 146; 2θ 67.5, I = 269

Atomic structure:
abc: 5.8057 7.0096 4.5353
angles: 90.00 90.00 90.00
Element x y z (fractional)
Sr 0.0000 0.0000 0.0000
Sr 0.5000 0.5000 0.0000
Ni 0.0000 0.5000 0.0000
Ni 0.2493 0.2495 0.5000
Ni 0.2507 0.7495 0.5000
Ni 0.5000 0.0000 0.0000
Ni 0.7493 0.2505 0.5000
Ni 0.7507 0.7505 0.5000
Ge 0.0000 0.5000 0.5000
Ge 0.5000 0.0000 0.5000